This entry pairs a crystal structure of Na3Pr3BiS8 with its simulated powder diffraction line list. Radiation: copper Kα. Structure: the GGA-PBE geometry in Alexandria.
Kinematic intensities with the Lorentz-polarization factor, no thermal factor.

Crystal structure
a b c (Å): 8.2628 8.2628 8.2628
angles (deg): 60.06 60.06 60.06
Atoms (fractional coordinates):
Na1 0.0000 0.5000 0.5000
Na2 0.5000 0.0000 0.5000
Na3 0.5000 0.5000 0.0000
Pr1 0.0000 0.0000 0.5000
Pr2 0.0000 0.5000 0.0000
Pr3 0.5000 0.0000 0.0000
Bi1 0.5000 0.5000 0.5000
S1 0.2442 0.2442 0.2442
S2 0.2565 0.7362 0.7362
S3 0.2638 0.2638 0.7435
S4 0.2638 0.7435 0.2638
S5 0.7362 0.2565 0.7362
S6 0.7362 0.7362 0.2565
S7 0.7435 0.2638 0.2638
S8 0.7558 0.7558 0.7558

Largest 12 diffraction maxima, sorted by position, 15 to 90 degrees two-theta:
Position (°2θ)  I_rel
25.26  55
26.41  38
30.59  100
33.41  22
40.09  26
43.81  71
45.91  27
51.88  22
54.37  25
56.21  15
72.29  30
80.48  17

---

This entry pairs a crystal structure of Na4Pr3BiS8 with its simulated powder diffraction line list. Radiation: copper Kα. Structure: the GGA-PBE geometry in Alexandria.
Kinematic intensities with the Lorentz-polarization factor, no thermal factor.

Crystal structure
a b c (Å): 8.2552 8.2552 8.2552
angles (deg): 60.25 60.25 60.25
Atoms (fractional coordinates):
Na1 0.0000 0.0000 0.0000
Na2 0.0000 0.5000 0.5000
Na3 0.5000 0.0000 0.5000
Na4 0.5000 0.5000 0.0000
Pr1 0.0000 0.0000 0.5000
Pr2 0.0000 0.5000 0.0000
Pr3 0.5000 0.0000 0.0000
Bi1 0.5000 0.5000 0.5000
S1 0.2446 0.2446 0.2446
S2 0.2480 0.7437 0.7437
S3 0.2563 0.2563 0.7520
S4 0.2563 0.7520 0.2563
S5 0.7437 0.2480 0.7437
S6 0.7437 0.7437 0.2480
S7 0.7520 0.2563 0.2563
S8 0.7554 0.7554 0.7554

Largest 12 diffraction maxima, sorted by position, 15 to 90 degrees two-theta:
Position (°2θ)  I_rel
25.21  46
26.36  30
30.57  100
33.41  20
40.14  20
43.69  36
43.87  35
45.83  21
51.81  16
54.27  19
72.12  16
72.37  15

---

This entry pairs a crystal structure of NaBi4Pt with its simulated powder diffraction line list. Radiation: copper Kα. Structure: the GGA-PBE geometry in Alexandria.
Kinematic intensities with the Lorentz-polarization factor, no thermal factor.

Crystal structure
a b c (Å): 6.7418 6.9591 8.5019
angles (deg): 105.92 107.06 90.26
Atoms (fractional coordinates):
Na1 0.0592 0.2569 0.0041
Na2 0.9408 0.7431 0.9959
Bi1 0.0831 0.1033 0.3863
Bi2 0.3118 0.5509 0.8127
Bi3 0.3319 0.5991 0.3824
Bi4 0.4206 0.0977 0.8154
Bi5 0.5794 0.9023 0.1846
Bi6 0.6681 0.4009 0.6176
Bi7 0.6882 0.4491 0.1873
Bi8 0.9169 0.8967 0.6137
Pt1 0.0000 0.5000 0.5000
Pt2 0.5000 0.0000 0.5000

Largest 12 diffraction maxima, sorted by position, 15 to 90 degrees two-theta:
Position (°2θ)  I_rel
26.76  48
29.76  60
29.86  52
30.19  29
30.29  64
31.38  100
32.55  34
33.04  42
40.40  24
41.46  35
42.57  24
45.73  30

---

This entry pairs a crystal structure of NaBi4Pt4 with its simulated powder diffraction line list. Radiation: copper Kα. Structure: the GGA-PBE geometry in Alexandria.
Kinematic intensities with the Lorentz-polarization factor, no thermal factor.

Crystal structure
a b c (Å): 9.2818 9.2818 5.5929
angles (deg): 90.00 90.00 90.00
Atoms (fractional coordinates):
Na1 0.2500 0.2500 0.2500
Na2 0.7500 0.7500 0.7500
Bi1 0.1012 0.6308 0.1500
Bi2 0.1308 0.8988 0.6500
Bi3 0.3692 0.6012 0.6500
Bi4 0.3988 0.8692 0.1500
Bi5 0.6012 0.1308 0.8500
Bi6 0.6308 0.3988 0.3500
Bi7 0.8692 0.1012 0.3500
Bi8 0.8988 0.3692 0.8500
Pt1 0.0531 0.6087 0.6495
Pt2 0.1087 0.9469 0.1495
Pt3 0.3913 0.5531 0.1495
Pt4 0.4469 0.8913 0.6495
Pt5 0.5531 0.1087 0.3505
Pt6 0.6087 0.4469 0.8505
Pt7 0.8913 0.0531 0.8505
Pt8 0.9469 0.3913 0.3505

Largest 12 diffraction maxima, sorted by position, 15 to 90 degrees two-theta:
Position (°2θ)  I_rel
19.12  36
30.45  100
33.47  70
38.50  25
38.82  46
41.27  28
43.62  91
48.04  23
52.16  21
59.79  32
70.28  15
83.31  13

---

This entry pairs a crystal structure of NaBi3Pt with its simulated powder diffraction line list. Radiation: copper Kα. Structure: the GGA-PBE geometry in Alexandria.
Kinematic intensities with the Lorentz-polarization factor, no thermal factor.

Crystal structure
a b c (Å): 10.0472 4.4765 12.8214
angles (deg): 90.00 90.00 90.00
Atoms (fractional coordinates):
Na1 0.1394 0.2500 0.0183
Na2 0.3606 0.7500 0.5183
Na3 0.6394 0.2500 0.4817
Na4 0.8606 0.7500 0.9817
Bi1 0.0783 0.7500 0.2199
Bi2 0.1116 0.2500 0.5543
Bi3 0.1956 0.7500 0.8163
Bi4 0.3044 0.2500 0.3163
Bi5 0.3884 0.7500 0.0543
Bi6 0.4217 0.2500 0.7199
Bi7 0.5783 0.7500 0.2801
Bi8 0.6116 0.2500 0.9457
Bi9 0.6956 0.7500 0.6837
Bi10 0.8044 0.2500 0.1837
Bi11 0.8884 0.7500 0.4457
Bi12 0.9217 0.2500 0.7801
Pt1 0.0020 0.2500 0.3460
Pt2 0.4980 0.7500 0.8460
Pt3 0.5020 0.2500 0.1540
Pt4 0.9980 0.7500 0.6540

Largest 12 diffraction maxima, sorted by position, 15 to 90 degrees two-theta:
Position (°2θ)  I_rel
22.83  38
27.40  21
29.25  18
30.15  100
34.02  33
35.59  36
36.31  43
36.45  18
40.29  37
40.54  38
41.84  22
59.36  17

---

This entry pairs a crystal structure of Na2Bi2PtRh with its simulated powder diffraction line list. Radiation: copper Kα. Structure: the GGA-PBE geometry in Alexandria.
Kinematic intensities with the Lorentz-polarization factor, no thermal factor.

Crystal structure
a b c (Å): 8.3719 8.3719 8.3719
angles (deg): 136.89 68.12 129.98
Atoms (fractional coordinates):
Na1 0.1525 0.2412 0.3936
Na2 0.3475 0.7412 0.0887
Na3 0.6525 0.2588 0.9113
Na4 0.8475 0.7588 0.6064
Bi1 0.1066 0.7407 0.8473
Bi2 0.3934 0.2407 0.6342
Bi3 0.6066 0.7593 0.3658
Bi4 0.8934 0.2593 0.1527
Pt1 0.2500 0.2500 0.0000
Pt2 0.7500 0.7500 0.0000
Rh1 0.2500 0.7500 0.5000
Rh2 0.7500 0.2500 0.5000

Largest 12 diffraction maxima, sorted by position, 15 to 90 degrees two-theta:
Position (°2θ)  I_rel
23.05  100
32.22  16
36.27  64
38.79  61
39.15  51
41.00  26
43.08  20
46.94  17
48.02  15
49.31  15
66.67  22
72.32  17

---

This entry pairs a crystal structure of NaPu3Bi4 with its simulated powder diffraction line list. Radiation: copper Kα. Structure: the GGA-PBE geometry in Alexandria.
Kinematic intensities with the Lorentz-polarization factor, no thermal factor.

Crystal structure
a b c (Å): 3.3617 5.9035 11.9161
angles (deg): 90.00 90.00 90.00
Atoms (fractional coordinates):
Na1 0.0000 0.0000 0.0000
Pu1 0.0000 0.0000 0.5000
Pu2 0.0000 0.5000 0.2408
Pu3 0.0000 0.5000 0.7592
Bi1 0.5000 0.0000 0.2538
Bi2 0.5000 0.0000 0.7462
Bi3 0.5000 0.5000 0.0000
Bi4 0.5000 0.5000 0.5000

Largest 12 diffraction maxima, sorted by position, 15 to 90 degrees two-theta:
Position (°2θ)  I_rel
30.00  34
30.28  34
34.18  100
43.14  26
54.60  7
55.99  25
56.33  25
63.55  9
63.71  9
72.01  12
73.35  12
89.50  7

---

This entry pairs a crystal structure of NaPu5Bi6 with its simulated powder diffraction line list. Radiation: copper Kα. Structure: the GGA-PBE geometry in Alexandria.
Kinematic intensities with the Lorentz-polarization factor, no thermal factor.

Crystal structure
a b c (Å): 9.1106 9.1106 5.2833
angles (deg): 98.29 98.29 54.65
Atoms (fractional coordinates):
Na1 0.0000 0.0000 0.0000
Pu1 0.1622 0.1622 0.6468
Pu2 0.3422 0.3422 0.3344
Pu3 0.5000 0.5000 0.0000
Pu4 0.6578 0.6578 0.6656
Pu5 0.8378 0.8378 0.3532
Bi1 0.0806 0.5800 0.8379
Bi2 0.2477 0.7523 0.5000
Bi3 0.4200 0.9194 0.1621
Bi4 0.5800 0.0806 0.8379
Bi5 0.7523 0.2477 0.5000
Bi6 0.9194 0.4200 0.1621

Largest 12 diffraction maxima, sorted by position, 15 to 90 degrees two-theta:
Position (°2θ)  I_rel
30.64  86
33.66  100
34.42  32
43.27  17
44.48  16
55.91  16
56.42  31
57.42  15
62.04  11
62.99  11
70.78  12
73.26  15